# 1
Theoretical powder X-ray diffraction pattern of V2Bi4O11 for Cu Kα X-rays, from the GGA+U geometry in the Materials Project.
Lines closer than 0.1° are merged.

Principal peaks in the range 15 to 90 degrees two-theta, sorted by position:
- hkl -1 1 3, 2θ 22.75, rel. 28
- hkl 1 1 -3, 2θ 27.57, rel. 49
- hkl 1 -2 3, 2θ 28.18, rel. 100
- hkl -1 2 3, 2θ 28.55, rel. 50
- hkl 2 -1 0, 2θ 30.76, rel. 28
- hkl 0 0 6, 2θ 31.51, rel. 42
- hkl 0 3 0, 2θ 35.33, rel. 25
- hkl 1 -3 3, 2θ 36.91, rel. 13
- hkl -2 1 6, 2θ 44.46, rel. 16
- hkl 0 3 -6, 2θ 47.48, rel. 14

Cell and atoms:
Cell lengths 5.8158, 8.0884, 17.0433 Å; angles 91.09, 90.39, 109.52 degrees
Space group P1 (No. 1)
Symmetry-distinct sites (fractional):
V 0.0000 0.0000 0.0000 (multiplicity 1)
V 0.0209 0.0077 0.3012 (multiplicity 1)
V 0.1321 0.9692 0.6311 (multiplicity 1)
V 0.4521 0.9744 0.4982 (multiplicity 1)
V 0.6302 0.9852 0.8305 (multiplicity 1)
V 0.6614 0.0019 0.1315 (multiplicity 1)
Bi 0.2074 0.3166 0.4760 (multiplicity 1)
Bi 0.2962 0.3350 0.1468 (multiplicity 1)
Bi 0.3100 0.3534 0.8232 (multiplicity 1)
Bi 0.3483 0.6383 0.3195 (multiplicity 1)
Bi 0.3689 0.6690 0.9915 (multiplicity 1)
Bi 0.4755 0.6621 0.6557 (multiplicity 1)
Bi 0.6899 0.3136 0.3140 (multiplicity 1)
Bi 0.7308 0.3530 0.9838 (multiplicity 1)
Bi 0.7937 0.3370 0.6550 (multiplicity 1)
Bi 0.8375 0.6241 0.4907 (multiplicity 1)
Bi 0.9330 0.6475 0.1553 (multiplicity 1)
Bi 0.9794 0.6804 0.8224 (multiplicity 1)
O 0.0311 0.4717 0.5603 (multiplicity 1)
O 0.0492 0.4816 0.3970 (multiplicity 1)
O 0.0509 0.1529 0.6223 (multiplicity 1)
O 0.0540 0.8018 0.3045 (multiplicity 1)
O 0.0549 0.8047 0.9925 (multiplicity 1)
O 0.0631 0.4847 0.0674 (multiplicity 1)
O 0.0710 0.4918 0.9036 (multiplicity 1)
O 0.0874 0.4785 0.2306 (multiplicity 1)
O 0.1195 0.5150 0.7388 (multiplicity 1)
O 0.1366 0.9118 0.5032 (multiplicity 1)
O 0.1885 0.9451 0.7263 (multiplicity 1)
O 0.2441 0.1898 0.9909 (multiplicity 1)
O 0.2856 0.1656 0.2676 (multiplicity 1)
O 0.3748 0.8229 0.8676 (multiplicity 1)
O 0.4100 0.8155 0.1368 (multiplicity 1)
O 0.4818 0.0410 0.6013 (multiplicity 1)
O 0.5111 0.4621 0.3915 (multiplicity 1)
O 0.5285 0.7909 0.4766 (multiplicity 1)
O 0.5428 0.4511 0.5720 (multiplicity 1)
O 0.5449 0.1484 0.4365 (multiplicity 1)
O 0.5821 0.5214 0.9044 (multiplicity 1)
O 0.5953 0.5060 0.2324 (multiplicity 1)
O 0.5989 0.5183 0.0687 (multiplicity 1)
O 0.6027 0.5064 0.7384 (multiplicity 1)
O 0.6047 0.1946 0.8305 (multiplicity 1)
O 0.6129 0.1994 0.1378 (multiplicity 1)
O 0.6720 0.9929 0.0194 (multiplicity 1)
O 0.6775 0.9093 0.7404 (multiplicity 1)
O 0.7631 0.9998 0.2411 (multiplicity 1)
O 0.8743 0.7665 0.6162 (multiplicity 1)
O 0.8904 0.9927 0.8888 (multiplicity 1)
O 0.9647 0.0831 0.3902 (multiplicity 1)
O 0.9900 0.0086 0.1114 (multiplicity 1)

***

# 2
Theoretical powder X-ray diffraction pattern of VBiO4 for Cu Kα X-rays, from the GGA+U geometry in the Materials Project.
Lines closer than 0.1° are merged.

Principal peaks in the range 15 to 90 degrees two-theta, sorted by position:
- hkl 1 1 0, 2θ 17.51, rel. 47
- hkl 1 1 -1, 2θ 18.55, rel. 100
- hkl 0 2 1, 2θ 22.51, rel. 41
- hkl 1 1 1, 2θ 28.18, rel. 26
- hkl 1 3 -1, 2θ 29.13, rel. 63
- hkl 2 0 0, 2θ 31.58, rel. 29
- hkl 0 0 2, 2θ 32.40, rel. 23
- hkl 2 2 -1, 2θ 32.62, rel. 18
- hkl 1 3 1, 2θ 36.20, rel. 40
- hkl 2 4 0, 2θ 45.34, rel. 28

Cell and atoms:
Cell lengths 6.3039, 11.2956, 6.1489 Å; angles 90.00, 116.00, 90.00 degrees
Space group C2/c (No. 15)
Symmetry-distinct sites (fractional):
V 0.0000 0.1013 0.2500 (multiplicity 4)
Bi 0.0000 0.3944 0.2500 (multiplicity 4)
O 0.0484 0.1917 0.4881 (multiplicity 8)
O 0.2256 0.4787 0.6476 (multiplicity 8)

***

# 3
Theoretical powder X-ray diffraction pattern of V2Bi4O11 for Cu Kα X-rays, from the GGA+U geometry in the Materials Project.
Lines closer than 0.1° are merged.

Principal peaks in the range 15 to 90 degrees two-theta, sorted by position:
- hkl 0 1 1, 2θ 16.81, rel. 29
- hkl 1 0 -1, 2θ 20.33, rel. 33
- hkl 1 -1 0, 2θ 24.67, rel. 28
- hkl 0 1 -2, 2θ 27.73, rel. 86
- hkl 1 1 2, 2θ 27.95, rel. 100
- hkl 1 0 -2, 2θ 28.41, rel. 47
- hkl 0 2 1, 2θ 28.82, rel. 22
- hkl 2 1 0, 2θ 32.67, rel. 24
- hkl 0 2 2, 2θ 34.05, rel. 24
- hkl -2 1 1, 2θ 41.79, rel. 22

Cell and atoms:
Cell lengths 5.5316, 6.7732, 7.9251 Å; angles 83.51, 87.49, 73.04 degrees
Space group P1 (No. 1)
Symmetry-distinct sites (fractional):
V 0.0000 0.0000 0.0000 (multiplicity 1)
V 0.1875 0.5146 0.5925 (multiplicity 1)
Bi 0.1777 0.4388 0.0485 (multiplicity 1)
Bi 0.4836 0.8472 0.2549 (multiplicity 1)
Bi 0.6394 0.7345 0.7359 (multiplicity 1)
Bi 0.7301 0.2623 0.3792 (multiplicity 1)
O 0.0301 0.7559 0.6559 (multiplicity 1)
O 0.0303 0.9821 0.2256 (multiplicity 1)
O 0.2911 0.8365 0.9488 (multiplicity 1)
O 0.3761 0.5404 0.4030 (multiplicity 1)
O 0.3922 0.3929 0.7552 (multiplicity 1)
O 0.4516 0.1955 0.1958 (multiplicity 1)
O 0.5341 0.9270 0.5069 (multiplicity 1)
O 0.7587 0.9014 0.9470 (multiplicity 1)
O 0.8264 0.4966 0.2044 (multiplicity 1)
O 0.9505 0.4023 0.5716 (multiplicity 1)
O 0.9765 0.2559 0.9261 (multiplicity 1)

***

# 4
Theoretical powder X-ray diffraction pattern of V2Bi4O11 for Cu Kα X-rays, from the GGA+U geometry in the Materials Project.
Lines closer than 0.1° are merged.

Principal peaks in the range 15 to 90 degrees two-theta, sorted by position:
- hkl 1 1 -1, 2θ 22.30, rel. 29
- hkl 1 1 -3, 2θ 27.38, rel. 100
- hkl 1 1 3, 2θ 28.21, rel. 97
- hkl 2 0 0, 2θ 30.09, rel. 37
- hkl 0 2 0, 2θ 31.68, rel. 23
- hkl 0 0 6, 2θ 34.69, rel. 27
- hkl 2 2 0, 2θ 44.26, rel. 24
- hkl 2 0 6, 2θ 47.65, rel. 28
- hkl 3 1 3, 2θ 52.79, rel. 17
- hkl 1 1 9, 2θ 58.73, rel. 20

Cell and atoms:
Cell lengths 5.9452, 5.6483, 15.5315 Å; angles 90.00, 92.49, 90.00 degrees
Space group Pc (No. 7)
Symmetry-distinct sites (fractional):
V 0.0000 0.2007 0.0000 (multiplicity 2)
V 0.5869 0.2370 0.5114 (multiplicity 2)
Bi 0.0579 0.2876 0.3361 (multiplicity 2)
Bi 0.1082 0.1539 0.6743 (multiplicity 2)
Bi 0.5028 0.2688 0.8608 (multiplicity 2)
Bi 0.5539 0.3014 0.1882 (multiplicity 2)
O 0.1221 0.2404 0.9010 (multiplicity 2)
O 0.1543 0.2028 0.0985 (multiplicity 2)
O 0.2821 0.4733 0.7592 (multiplicity 2)
O 0.3379 0.0371 0.2629 (multiplicity 2)
O 0.4269 0.4028 0.4342 (multiplicity 2)
O 0.4568 0.0230 0.9953 (multiplicity 2)
O 0.5309 0.3009 0.6177 (multiplicity 2)
O 0.7519 0.4899 0.2879 (multiplicity 2)
O 0.8022 0.4198 0.0057 (multiplicity 2)
O 0.8666 0.0508 0.2431 (multiplicity 2)
O 0.8771 0.0949 0.4948 (multiplicity 2)

***

# 5
Theoretical powder X-ray diffraction pattern of V2Bi4O11 for Cu Kα X-rays, from the GGA+U geometry in the Materials Project.
Lines closer than 0.1° are merged.

Principal peaks in the range 15 to 90 degrees two-theta, sorted by position:
- hkl 1 1 0, 2θ 15.63, rel. 75
- hkl 1 0 -2, 2θ 22.15, rel. 42
- hkl 1 1 -2, 2θ 24.10, rel. 59
- hkl 1 2 1, 2θ 26.24, rel. 66
- hkl 2 1 0, 2θ 26.88, rel. 59
- hkl 0 2 2, 2θ 28.53, rel. 100
- hkl 1 1 2, 2θ 28.74, rel. 80
- hkl 2 0 -2, 2θ 29.19, rel. 50
- hkl 1 3 0, 2θ 31.08, rel. 68
- hkl 3 2 -1, 2θ 41.98, rel. 39

Cell and atoms:
Cell lengths 7.2702, 9.4450, 8.5701 Å; angles 90.00, 102.95, 90.00 degrees
Space group P2_1 (No. 4)
Symmetry-distinct sites (fractional):
V 0.1121 0.0000 0.4271 (multiplicity 2)
V 0.3842 0.0025 0.0494 (multiplicity 2)
Bi 0.1506 0.3759 0.9827 (multiplicity 2)
Bi 0.2725 0.3955 0.4969 (multiplicity 2)
Bi 0.3336 0.7794 0.6911 (multiplicity 2)
Bi 0.3723 0.6544 0.2198 (multiplicity 2)
O 0.0261 0.9632 0.6005 (multiplicity 2)
O 0.0543 0.4060 0.7143 (multiplicity 2)
O 0.1057 0.1766 0.3853 (multiplicity 2)
O 0.1799 0.5986 0.0044 (multiplicity 2)
O 0.1800 0.9128 0.0575 (multiplicity 2)
O 0.3155 0.6254 0.5060 (multiplicity 2)
O 0.3403 0.9218 0.4764 (multiplicity 2)
O 0.3412 0.4218 0.2634 (multiplicity 2)
O 0.3778 0.0570 0.8521 (multiplicity 2)
O 0.4216 0.1504 0.1723 (multiplicity 2)
O 0.4337 0.3786 0.8915 (multiplicity 2)